1.
Structure and theoretical X-ray powder pattern of Zr6Ga16Os7 (the PBE geometry in the Materials Project; Cu Kα).
Intensities are scaled so that the largest is 100.

Atomic structure:
Cell: 8.811 8.811 8.811 Å, 60.00 60.00 60.00°
Fractional coordinates of all 29 atoms:
Zr: 0.219 0.219 0.781
Zr: 0.219 0.781 0.219
Zr: 0.219 0.781 0.781
Zr: 0.781 0.219 0.219
Zr: 0.781 0.219 0.781
Zr: 0.781 0.781 0.219
Ga: 0.129 0.624 0.624
Ga: 0.154 0.154 0.154
Ga: 0.154 0.154 0.537
Ga: 0.154 0.537 0.154
Ga: 0.376 0.376 0.376
Ga: 0.376 0.376 0.871
Ga: 0.376 0.871 0.376
Ga: 0.463 0.846 0.846
Ga: 0.537 0.154 0.154
Ga: 0.624 0.129 0.624
Ga: 0.624 0.624 0.129
Ga: 0.624 0.624 0.624
Ga: 0.846 0.463 0.846
Ga: 0.846 0.846 0.463
Ga: 0.846 0.846 0.846
Ga: 0.871 0.376 0.376
Os: 0.000 0.000 0.500
Os: 0.000 0.500 0.000
Os: 0.000 0.500 0.500
Os: 0.500 0.000 0.000
Os: 0.500 0.000 0.500
Os: 0.500 0.500 0.000
Os: 0.500 0.500 0.500

The 10 most intense peaks (10 to 80 degrees two-theta), in order of rising 2θ:
2θ/deg, intensity
24.8, 19.7
28.7, 11.3
35.3, 8.8
37.5, 11.5
41.0, 100.0
48.5, 16.3
56.7, 6.4
59.3, 12.7
67.2, 6.8
74.6, 22.8

2.
Structure and theoretical X-ray powder pattern of Eu2TiNbO6 (the PBE geometry in the Materials Project; Cu Kα).
Intensities are scaled so that the largest is 100.

Atomic structure:
Cell: 5.667 5.667 5.667 Å, 60.00 60.00 60.00°
Fractional coordinates of all 10 atoms:
Eu: 0.250 0.250 0.250
Eu: 0.750 0.750 0.750
Ti: 0.000 0.000 0.000
Nb: 0.500 0.500 0.500
O: 0.247 0.247 0.753
O: 0.247 0.753 0.247
O: 0.247 0.753 0.753
O: 0.753 0.247 0.247
O: 0.753 0.247 0.753
O: 0.753 0.753 0.247

The 10 most intense peaks (10 to 80 degrees two-theta), in order of rising 2θ:
2θ/deg, intensity
22.2, 10.1
31.6, 100.0
38.9, 14.9
45.3, 31.0
51.0, 5.7
56.2, 39.0
65.9, 18.7
70.5, 3.1
74.9, 16.9
79.3, 4.8